This entry pairs a crystal structure of Ac10Sn3Ge3 with its simulated PXRD pattern. Radiation: copper Kα. Structure: a crystal structure in Alexandria, relaxed with PBE.
No peak broadening, texture or thermal motion is included.

Main lines, in order of rising 2θ (2θ = 10–80°):
26.5°, I = 34; 28.4°, I = 41; 30.6°, I = 92; 30.9°, I = 100; 32.3°, I = 42; 45.1°, I = 26; 47.0°, I = 32; 49.3°, I = 16; 50.2°, I = 16; 50.4°, I = 25

Crystal structure
Cell: 9.6123 9.6123 7.3479 Å, 90.00 90.00 120.00°
Space group P-62m (No. 189)
Unique sites:
Ac  0.0000  0.2443  0.0000 x3
Ac  0.0000  0.7543  0.5000 x3
Ac  0.3333  0.6667  0.2590 x4
Sn  0.0000  0.6026  0.0000 x3
Ge  0.0000  0.3913  0.5000 x3